Te5Au4Se: simulated XRD peak list (copper Kα), based on a structure optimized by DFT (PBE).
Lines closer than 0.1° are merged.

Main lines, in order of falling intensity (2θ from 15° to 90°):
23.6°, I = 100; 37.9°, I = 94; 23.3°, I = 86; 32.3°, I = 63; 40.7°, I = 47; 44.2°, I = 44; 47.0°, I = 37; 47.7°, I = 34; 33.6°, I = 33; 52.9°, I = 31

Cell and atoms:
Lattice parameters (Å, degrees): 8.870 9.010 7.173 90.00 90.00 90.00
Sites, in units of the cell vectors:
Te: 0.001 0.092 0.241
Te: 0.001 0.408 0.241
Te: 0.250 0.750 0.209
Te: 0.499 0.092 0.241
Te: 0.499 0.408 0.241
Te: 0.501 0.592 0.759
Te: 0.501 0.908 0.759
Te: 0.750 0.250 0.791
Te: 0.999 0.592 0.759
Te: 0.999 0.908 0.759
Au: 0.008 0.250 0.587
Au: 0.250 0.006 0.995
Au: 0.250 0.494 0.995
Au: 0.492 0.250 0.587
Au: 0.508 0.750 0.413
Au: 0.750 0.506 0.005
Au: 0.750 0.994 0.005
Au: 0.992 0.750 0.413
Se: 0.250 0.250 0.790
Se: 0.750 0.750 0.210